# Li2TiCo2O6
Theoretical XRD peak list, Cu Kα (weighted mean of Kα1 and Kα2). Input: a crystal structure in Alexandria, relaxed with GGA+U.
No peak broadening, texture or thermal motion is included.

Top 10 peaks for 2θ = 10–90°, most intense first:
d/Å  2theta  I_rel
5.088  17.43  100
2.014  45.02  34
2.430  37.00  24
2.343  38.42  20
1.579  58.45  19
1.480  62.78  16
2.639  33.97  11
1.832  49.78  11
1.369  68.57  9
2.245  40.16  7

Cell and atoms:
abc: 5.0134 5.0134 10.1765
angles: 90.00 90.00 63.53
Sites, in units of the cell vectors:
Li1 0.1181 0.3819 0.2500
Li2 0.3819 0.1181 0.7500
Li3 0.6181 0.8819 0.2500
Li4 0.8819 0.6181 0.7500
Ti1 0.0000 0.0000 0.0000
Ti2 0.5000 0.5000 0.5000
Co1 0.1650 0.1650 0.5000
Co2 0.3350 0.3350 0.0000
Co3 0.6650 0.6650 0.0000
Co4 0.8350 0.8350 0.5000
O1 0.0399 0.3051 0.8904
O2 0.1616 0.8384 0.4061
O3 0.1949 0.4601 0.6096
O4 0.3051 0.0399 0.1096
O5 0.3384 0.6616 0.9061
O6 0.4601 0.1949 0.3904
O7 0.5399 0.8051 0.6096
O8 0.6616 0.3384 0.0939
O9 0.6949 0.9601 0.8904
O10 0.8051 0.5399 0.3904
O11 0.8384 0.1616 0.5939
O12 0.9601 0.6949 0.1096